Starting from the PBE geometry in the Materials Project, the powder diffractogram of Pr6Fe13Pb was calculated for λ = 1.5418 Å (Cu Kα).
Intensities are scaled so that the largest is 1000.

The 10 most intense peaks (2θ from 10° to 80°), sorted by position:
2theta	I_rel
27.1	741
27.3	396
31.0	666
31.3	364
31.5	539
33.8	434
35.1	1000
37.4	662
42.2	502
46.4	363

Crystal structure
Cell lengths 13.259, 13.259, 13.259 Å; angles 144.47, 144.47, 51.13 degrees
Fractional coordinates of all 40 atoms:
Pr  0.020  0.520  0.174
Pr  0.103  0.103  0.000
Pr  0.154  0.980  0.500
Pr  0.346  0.846  0.826
Pr  0.397  0.397  0.000
Pr  0.480  0.654  0.500
Pr  0.520  0.346  0.500
Pr  0.603  0.603  0.000
Pr  0.654  0.154  0.174
Pr  0.846  0.020  0.500
Pr  0.897  0.897  0.000
Pr  0.980  0.480  0.826
Fe  0.000  0.500  0.500
Fe  0.022  0.296  0.500
Fe  0.066  0.210  0.276
Fe  0.122  0.622  0.857
Fe  0.204  0.478  0.500
Fe  0.210  0.934  0.143
Fe  0.236  0.736  0.857
Fe  0.264  0.122  0.500
Fe  0.290  0.434  0.724
Fe  0.296  0.796  0.274
Fe  0.378  0.236  0.500
Fe  0.434  0.710  0.143
Fe  0.478  0.978  0.274
Fe  0.500  0.000  0.500
Fe  0.522  0.022  0.726
Fe  0.566  0.290  0.857
Fe  0.622  0.764  0.500
Fe  0.704  0.204  0.726
Fe  0.710  0.566  0.276
Fe  0.736  0.878  0.500
Fe  0.764  0.264  0.143
Fe  0.790  0.066  0.857
Fe  0.796  0.522  0.500
Fe  0.878  0.378  0.143
Fe  0.934  0.790  0.724
Fe  0.978  0.704  0.500
Pb  0.250  0.250  0.000
Pb  0.750  0.750  0.000